The following is a theoretical X-ray diffraction stick pattern of LiCoS2O8. It was derived from DFT lattice parameters and positions (GGA+U), using Cu Kα (λ = 1.5418 Å).
Intensities are scaled so that the largest is 100.

Principal peaks in the range 10° ≤ 2θ ≤ 80°, sorted by position:
14.5 deg, d = 6.105 Å, intensity 81; 14.7 deg, d = 6.038 Å, intensity 43; 19.9 deg, d = 4.464 Å, intensity 54; 20.2 deg, d = 4.403 Å, intensity 29; 24.2 deg, d = 3.684 Å, intensity 59; 24.4 deg, d = 3.653 Å, intensity 100; 24.7 deg, d = 3.606 Å, intensity 54; 29.3 deg, d = 3.044 Å, intensity 25; 29.6 deg, d = 3.019 Å, intensity 25; 32.0 deg, d = 2.794 Å, intensity 32

Structural model:
a = 8.292 Å, b = 8.360 Å, c = 8.850 Å
α = 90.42°, β = 117.14°, γ = 119.54°
Atoms (fractional coordinates):
Li1 0.000 0.000 0.000
Li2 0.125 0.738 0.080
Li3 0.360 0.376 0.081
Co1 0.026 0.503 0.520
Co2 0.612 0.807 0.395
Co3 0.613 0.295 0.896
S1 0.104 0.405 0.202
S2 0.110 0.199 0.703
S3 0.525 0.898 0.706
S4 0.534 0.120 0.202
S5 0.813 0.686 0.207
S6 0.819 0.613 0.703
O1 0.030 0.206 0.154
O2 0.079 0.193 0.854
O3 0.137 0.467 0.377
O4 0.176 0.394 0.680
O5 0.291 0.174 0.744
O6 0.307 0.771 0.678
O7 0.319 0.534 0.215
O8 0.361 0.153 0.157
O9 0.451 0.917 0.214
O10 0.508 0.854 0.530
O11 0.588 0.133 0.061
O12 0.590 0.103 0.742
O13 0.630 0.493 0.065
O14 0.659 0.475 0.748
O15 0.684 0.872 0.843
O16 0.697 0.643 0.536
O17 0.702 0.773 0.229
O18 0.731 0.254 0.376
O19 0.913 0.050 0.537
O20 0.926 0.522 0.676
O21 0.930 0.657 0.378
O22 0.952 0.450 0.063
O23 0.966 0.808 0.155
O24 0.992 0.792 0.852